[1]
For K6Ti2O7, a structure optimized by DFT (GGA-PBE) gives the computed powder diffractogram in this record (Cu Kα (λ = 1.5418 Å)).

Atomic structure:
Cell lengths 6.637, 9.382, 11.482 Å; angles 90.00, 123.40, 90.00 degrees
Positions (direct):
K1 0.058 0.156 0.433
K2 0.058 0.344 0.933
K3 0.207 0.528 0.457
K4 0.207 0.972 0.957
K5 0.408 0.204 0.279
K6 0.408 0.296 0.779
K7 0.592 0.704 0.221
K8 0.592 0.796 0.721
K9 0.793 0.028 0.043
K10 0.793 0.472 0.543
K11 0.942 0.656 0.067
K12 0.942 0.844 0.567
Ti1 0.309 0.645 0.868
Ti2 0.309 0.855 0.368
Ti3 0.691 0.145 0.632
Ti4 0.691 0.355 0.132
O1 0.038 0.675 0.868
O2 0.038 0.825 0.368
O3 0.235 0.597 0.695
O4 0.235 0.903 0.195
O5 0.500 0.000 0.500
O6 0.500 0.199 0.073
O7 0.500 0.301 0.573
O8 0.500 0.500 0.000
O9 0.500 0.699 0.427
O10 0.500 0.801 0.927
O11 0.765 0.097 0.805
O12 0.765 0.403 0.305
O13 0.962 0.175 0.632
O14 0.962 0.325 0.132

The 12 most intense peaks (5 to 70 degrees two-theta), sorted by position:
two_theta, d (Å), Rel. int.
16.36, 5.417, 36
18.56, 4.780, 19
26.59, 3.353, 26
28.54, 3.127, 37
29.77, 3.001, 32
30.09, 2.970, 100
30.65, 2.917, 49
32.92, 2.721, 92
34.16, 2.625, 45
36.66, 2.451, 63
51.49, 1.775, 18
59.04, 1.565, 21

---

[2]
For MnTc3, a structure optimized by DFT (GGA-PBE) gives the computed powder diffractogram in this record (Cu Kα (λ = 1.5418 Å)).

Atomic structure:
Cell lengths 4.671, 4.671, 2.714 Å; angles 90.00, 90.00, 109.05 degrees
Positions (direct):
Mn1 0.000 0.000 0.000
Tc1 0.000 0.500 0.500
Tc2 0.500 0.000 0.500
Tc3 0.500 0.500 0.000

The 12 most intense peaks (5 to 70 degrees two-theta), sorted by position:
two_theta, d (Å), Rel. int.
20.11, 4.415, 5
23.38, 3.804, 2
33.02, 2.712, 1
38.95, 2.312, 2
39.22, 2.297, 1
40.86, 2.209, 100
47.40, 1.918, 32
47.82, 1.902, 16
52.16, 1.753, 1
53.50, 1.713, 1
69.28, 1.356, 10
69.61, 1.351, 19

---

[3]
For Cs2OsO4, a structure optimized by DFT (GGA-PBE) gives the computed powder diffractogram in this record (Cu Kα (λ = 1.5418 Å)).

Atomic structure:
Cell lengths 6.597, 6.562, 6.896 Å; angles 58.64, 58.15, 63.22 degrees
Positions (direct):
Cs1 0.000 0.000 0.500
Cs2 0.500 0.500 0.000
Os1 0.252 0.252 0.748
O1 0.015 0.364 0.636
O2 0.139 0.491 0.861
O3 0.364 0.015 0.985
O4 0.491 0.139 0.509

The 12 most intense peaks (5 to 70 degrees two-theta), sorted by position:
two_theta, d (Å), Rel. int.
16.31, 5.436, 100
25.84, 3.448, 59
27.18, 3.281, 67
27.30, 3.266, 66
30.60, 2.922, 13
30.81, 2.902, 13
33.08, 2.708, 15
36.68, 2.450, 16
37.05, 2.426, 15
46.33, 1.960, 27
46.55, 1.951, 27
48.97, 1.860, 31

---

[4]
For Th7InTc2, a structure optimized by DFT (GGA-PBE) gives the computed powder diffractogram in this record (Cu Kα (λ = 1.5418 Å)).

Atomic structure:
Cell lengths 8.357, 8.357, 5.205 Å; angles 90.00, 90.00, 113.62 degrees
Positions (direct):
Th1 0.000 0.000 0.000
Th2 0.193 0.447 0.000
Th3 0.216 0.784 0.500
Th4 0.447 0.193 0.000
Th5 0.553 0.807 0.000
Th6 0.784 0.216 0.500
Th7 0.807 0.553 0.000
In1 0.500 0.500 0.500
Tc1 0.189 0.811 0.000
Tc2 0.811 0.189 0.000

The 12 most intense peaks (5 to 70 degrees two-theta), sorted by position:
two_theta, d (Å), Rel. int.
17.04, 5.205, 90
25.93, 3.436, 58
27.47, 3.247, 97
29.98, 2.980, 63
30.80, 2.903, 88
32.22, 2.778, 99
33.50, 2.675, 54
34.46, 2.602, 100
34.69, 2.586, 96
35.16, 2.552, 51
47.89, 1.899, 67
57.95, 1.591, 48

---

[5]
For MnHgRuS, a structure optimized by DFT (GGA-PBE) gives the computed powder diffractogram in this record (Cu Kα (λ = 1.5418 Å)).

Atomic structure:
Cell lengths 3.074, 3.148, 6.726 Å; angles 90.00, 90.00, 90.00 degrees
Positions (direct):
Mn1 0.000 0.000 0.000
Hg1 0.500 0.000 0.361
Ru1 0.000 0.500 0.650
S1 0.500 0.500 0.899

The 12 most intense peaks (5 to 70 degrees two-theta), sorted by position:
two_theta, d (Å), Rel. int.
13.16, 6.726, 66
26.50, 3.363, 19
31.37, 2.851, 100
32.01, 2.796, 80
39.20, 2.298, 59
39.73, 2.269, 85
40.22, 2.242, 39
41.04, 2.199, 34
43.28, 2.090, 100
58.65, 1.574, 19
58.81, 1.570, 31
69.48, 1.353, 20

---

[6]
For NiMoRh5, a structure optimized by DFT (GGA-PBE) gives the computed powder diffractogram in this record (Cu Kα (λ = 1.5418 Å)).

Atomic structure:
Cell lengths 6.964, 6.964, 6.964 Å; angles 120.10, 81.07, 130.82 degrees
Positions (direct):
Ni1 0.000 0.000 0.000
Ni2 0.500 0.000 0.500
Mo1 0.459 0.209 0.250
Mo2 0.541 0.791 0.750
Rh1 0.043 0.793 0.250
Rh2 0.125 0.305 0.420
Rh3 0.125 0.705 0.820
Rh4 0.385 0.305 0.680
Rh5 0.385 0.705 0.080
Rh6 0.615 0.295 0.920
Rh7 0.615 0.695 0.320
Rh8 0.875 0.295 0.180
Rh9 0.875 0.695 0.580
Rh10 0.957 0.207 0.750

The 12 most intense peaks (5 to 70 degrees two-theta), sorted by position:
two_theta, d (Å), Rel. int.
16.75, 5.293, 19
30.82, 2.901, 51
35.31, 2.542, 34
39.62, 2.275, 42
40.52, 2.226, 66
41.98, 2.152, 61
42.95, 2.106, 100
44.13, 2.052, 24
46.47, 1.954, 60
53.81, 1.704, 14
54.99, 1.670, 13
64.29, 1.449, 14

---

[7]
For Fe12Co6N, a structure optimized by DFT (GGA-PBE) gives the computed powder diffractogram in this record (Cu Kα (λ = 1.5418 Å)).

Atomic structure:
Cell lengths 6.038, 6.038, 6.038 Å; angles 88.85, 88.85, 88.85 degrees
Positions (direct):
Fe1 0.012 0.921 0.317
Fe2 0.079 0.683 0.988
Fe3 0.116 0.437 0.357
Fe4 0.317 0.012 0.921
Fe5 0.357 0.116 0.437
Fe6 0.437 0.357 0.116
Fe7 0.563 0.643 0.884
Fe8 0.643 0.884 0.563
Fe9 0.683 0.988 0.079
Fe10 0.884 0.563 0.643
Fe11 0.921 0.317 0.012
Fe12 0.988 0.079 0.683
Co1 0.249 0.380 0.746
Co2 0.254 0.751 0.620
Co3 0.380 0.746 0.249
Co4 0.620 0.254 0.751
Co5 0.746 0.249 0.380
Co6 0.751 0.620 0.254
N1 0.500 0.500 0.500

The 12 most intense peaks (5 to 70 degrees two-theta), sorted by position:
two_theta, d (Å), Rel. int.
21.02, 4.227, 10
32.92, 2.721, 17
36.58, 2.456, 20
36.83, 2.440, 20
44.22, 2.048, 49
45.06, 2.012, 77
45.47, 1.995, 100
47.34, 1.920, 70
47.94, 1.898, 55
49.45, 1.843, 24
50.22, 1.817, 10
50.60, 1.804, 7

---

[8]
For CaPrBi, a structure optimized by DFT (GGA-PBE) gives the computed powder diffractogram in this record (Cu Kα (λ = 1.5418 Å)).

Atomic structure:
Cell lengths 7.472, 7.472, 6.564 Å; angles 90.00, 90.00, 145.04 degrees
Positions (direct):
Ca1 0.203 0.797 0.750
Ca2 0.797 0.203 0.250
Pr1 0.500 0.500 0.000
Pr2 0.500 0.500 0.500
Bi1 0.134 0.866 0.250
Bi2 0.866 0.134 0.750

The 12 most intense peaks (5 to 70 degrees two-theta), sorted by position:
two_theta, d (Å), Rel. int.
18.38, 4.828, 69
24.83, 3.586, 27
27.33, 3.263, 100
29.98, 2.981, 27
30.60, 2.922, 27
34.43, 2.605, 79
37.25, 2.414, 40
39.90, 2.259, 22
40.18, 2.244, 23
55.94, 1.644, 25
57.05, 1.614, 20
63.46, 1.466, 19